Starting from the PBE geometry in Alexandria, the X-ray diffraction stick pattern of Ac2PrSb4Pd3 was computed for Cu Kα.

Crystal structure
Lattice parameters (Å, degrees): 4.7512 4.7512 11.9668 90.00 90.00 90.00
Fractional positions:
Ac (0.0000, 0.5000, 0.2199)
Ac (0.5000, 0.0000, 0.7801)
Pr (0.0000, 0.0000, 0.5000)
Sb (0.0000, 0.0000, 0.0000)
Sb (0.0000, 0.5000, 0.6615)
Sb (0.5000, 0.0000, 0.3385)
Sb (0.5000, 0.5000, 0.0000)
Pd (0.0000, 0.5000, 0.8855)
Pd (0.5000, 0.0000, 0.1145)
Pd (0.5000, 0.5000, 0.5000)

Peak list (12 most intense, 15° ≤ 2θ ≤ 90°, low angle first)
26.53°, rel. 12
29.23°, rel. 39
30.52°, rel. 100
35.46°, rel. 21
37.87°, rel. 57
40.37°, rel. 13
42.28°, rel. 14
48.55°, rel. 19
52.85°, rel. 14
54.64°, rel. 20
58.05°, rel. 11
63.88°, rel. 24

Starting from the PBE geometry in Alexandria, the X-ray diffraction stick pattern of Rb4LiSn3Br12 was computed for Cu Kα.

Crystal structure
Lattice parameters (Å, degrees): 9.8691 9.8691 9.8691 109.47 109.47 109.47
Fractional positions:
Rb (0.0000, 0.0000, 0.5000)
Rb (0.0000, 0.5000, 0.0000)
Rb (0.5000, 0.0000, 0.0000)
Rb (0.5000, 0.5000, 0.5000)
Li (0.0000, 0.0000, 0.0000)
Sn (0.0000, 0.5000, 0.5000)
Sn (0.5000, 0.0000, 0.5000)
Sn (0.5000, 0.5000, 0.0000)
Br (0.0000, 0.2477, 0.2477)
Br (0.0000, 0.7523, 0.7523)
Br (0.2477, 0.0000, 0.2477)
Br (0.2477, 0.2477, 0.0000)
Br (0.2500, 0.5000, 0.7500)
Br (0.2500, 0.7500, 0.5000)
Br (0.5000, 0.2500, 0.7500)
Br (0.5000, 0.7500, 0.2500)
Br (0.7500, 0.2500, 0.5000)
Br (0.7500, 0.5000, 0.2500)
Br (0.7523, 0.0000, 0.7523)
Br (0.7523, 0.7523, 0.0000)

Peak list (12 most intense, 15° ≤ 2θ ≤ 90°, low angle first)
15.55°, rel. 23
22.06°, rel. 25
27.11°, rel. 64
31.40°, rel. 100
35.22°, rel. 13
38.71°, rel. 12
45.00°, rel. 73
53.32°, rel. 27
55.90°, rel. 25
65.53°, rel. 12
74.47°, rel. 33
83.03°, rel. 25

Starting from the PBE geometry in Alexandria, the X-ray diffraction stick pattern of CsCrPbCl6 was computed for Cu Kα.

Crystal structure
Lattice parameters (Å, degrees): 7.0492 7.0492 7.4613 90.00 90.00 120.00
Fractional positions:
Cs (0.0000, 0.0000, 0.0000)
Cr (0.6667, 0.3333, 0.5000)
Pb (0.3333, 0.6667, 0.5000)
Cl (0.3988, 0.0565, 0.6877)
Cl (0.3988, 0.3424, 0.3123)
Cl (0.6576, 0.0565, 0.3123)
Cl (0.6576, 0.6012, 0.6877)
Cl (0.9435, 0.3424, 0.6877)
Cl (0.9435, 0.6012, 0.3123)

Peak list (12 most intense, 15° ≤ 2θ ≤ 90°, low angle first)
18.78°, rel. 100
25.27°, rel. 25
28.01°, rel. 26
31.67°, rel. 26
35.02°, rel. 53
39.09°, rel. 21
40.94°, rel. 31
44.54°, rel. 22
54.22°, rel. 13
55.71°, rel. 23
57.87°, rel. 12
68.16°, rel. 12

Starting from the PBE geometry in Alexandria, the X-ray diffraction stick pattern of NbH was computed for Cu Kα.

Crystal structure
Lattice parameters (Å, degrees): 3.4582 4.9090 4.9473 90.00 90.00 90.00
Fractional positions:
Nb (0.0000, 0.2457, 0.0000)
Nb (0.0000, 0.7543, 0.5000)
Nb (0.5000, 0.2543, 0.5000)
Nb (0.5000, 0.7457, 0.0000)
H (0.0000, 0.3806, 0.3717)
H (0.0000, 0.6194, 0.8717)
H (0.5000, 0.1194, 0.8717)
H (0.5000, 0.8806, 0.3717)

Peak list (12 most intense, 15° ≤ 2θ ≤ 90°, low angle first)
36.32°, rel. 21
36.61°, rel. 100
52.52°, rel. 14
52.95°, rel. 7
65.53°, rel. 14
65.91°, rel. 21
66.10°, rel. 7
77.83°, rel. 11
88.53°, rel. 3
88.88°, rel. 6
89.05°, rel. 3
89.56°, rel. 6

Starting from the PBE geometry in Alexandria, the X-ray diffraction stick pattern of AcZnCu was computed for Cu Kα.

Crystal structure
Lattice parameters (Å, degrees): 11.3928 4.4497 7.9704 90.00 134.12 90.00
Fractional positions:
Ac (0.2438, 0.0000, 0.2423)
Ac (0.2562, 0.5000, 0.7577)
Ac (0.7438, 0.5000, 0.2423)
Ac (0.7562, 0.0000, 0.7577)
Zn (0.0018, 0.0000, 0.3333)
Zn (0.4982, 0.5000, 0.6667)
Zn (0.5018, 0.5000, 0.3333)
Zn (0.9982, 0.0000, 0.6667)
Cu (0.0012, 0.5000, 0.1654)
Cu (0.4988, 0.0000, 0.8346)
Cu (0.5012, 0.0000, 0.1654)
Cu (0.9988, 0.5000, 0.8346)

Peak list (12 most intense, 15° ≤ 2θ ≤ 90°, low angle first)
22.31°, rel. 16
22.89°, rel. 29
31.27°, rel. 26
31.42°, rel. 26
31.77°, rel. 100
39.50°, rel. 43
40.55°, rel. 20
44.30°, rel. 15
52.07°, rel. 12
52.18°, rel. 13
60.70°, rel. 12
60.98°, rel. 12

Starting from the PBE geometry in Alexandria, the X-ray diffraction stick pattern of Ce3NdSn12 was computed for Cu Kα.

Crystal structure
Lattice parameters (Å, degrees): 4.7484 4.7484 18.7723 90.00 90.00 90.00
Fractional positions:
Ce (0.0000, 0.0000, 0.0000)
Ce (0.0000, 0.0000, 0.2475)
Ce (0.0000, 0.0000, 0.7525)
Nd (0.0000, 0.0000, 0.5000)
Sn (0.0000, 0.5000, 0.1240)
Sn (0.0000, 0.5000, 0.3727)
Sn (0.0000, 0.5000, 0.6273)
Sn (0.0000, 0.5000, 0.8760)
Sn (0.5000, 0.0000, 0.1240)
Sn (0.5000, 0.0000, 0.3727)
Sn (0.5000, 0.0000, 0.6273)
Sn (0.5000, 0.0000, 0.8760)
Sn (0.5000, 0.5000, 0.0000)
Sn (0.5000, 0.5000, 0.2486)
Sn (0.5000, 0.5000, 0.5000)
Sn (0.5000, 0.5000, 0.7514)

Peak list (10 most intense, 15° ≤ 2θ ≤ 90°, low angle first)
32.80°, rel. 100
37.90°, rel. 34
38.36°, rel. 16
54.67°, rel. 12
55.02°, rel. 23
65.24°, rel. 29
65.87°, rel. 14
68.75°, rel. 12
81.00°, rel. 4
82.15°, rel. 2

Starting from the PBE geometry in Alexandria, the X-ray diffraction stick pattern of TbNdMg2 was computed for Cu Kα.

Crystal structure
Lattice parameters (Å, degrees): 7.6813 7.6813 7.6813 90.00 90.00 90.00
Fractional positions:
Tb (0.0000, 0.0000, 0.0000)
Tb (0.0000, 0.5000, 0.5000)
Tb (0.5000, 0.0000, 0.5000)
Tb (0.5000, 0.5000, 0.0000)
Nd (0.0000, 0.0000, 0.5000)
Nd (0.0000, 0.5000, 0.0000)
Nd (0.5000, 0.0000, 0.0000)
Nd (0.5000, 0.5000, 0.5000)
Mg (0.2500, 0.2500, 0.2500)
Mg (0.2500, 0.2500, 0.7500)
Mg (0.2500, 0.7500, 0.2500)
Mg (0.2500, 0.7500, 0.7500)
Mg (0.7500, 0.2500, 0.2500)
Mg (0.7500, 0.2500, 0.7500)
Mg (0.7500, 0.7500, 0.2500)
Mg (0.7500, 0.7500, 0.7500)

Peak list (11 most intense, 15° ≤ 2θ ≤ 90°, low angle first)
23.16°, rel. 61
32.98°, rel. 100
40.69°, rel. 19
47.34°, rel. 18
53.34°, rel. 26
58.90°, rel. 38
69.19°, rel. 12
74.05°, rel. 12
78.80°, rel. 16
83.48°, rel. 7
88.11°, rel. 4

Starting from the PBE geometry in Alexandria, the X-ray diffraction stick pattern of Cr2NiPt was computed for Cu Kα.

Crystal structure
Lattice parameters (Å, degrees): 2.6033 4.1429 4.6259 90.00 90.00 90.00
Fractional positions:
Cr (0.0000, 0.0000, 0.0000)
Cr (0.0000, 0.5000, 0.3124)
Ni (0.5000, 0.5000, 0.8417)
Pt (0.5000, 0.0000, 0.5053)

Peak list (12 most intense, 15° ≤ 2θ ≤ 90°, low angle first)
19.19°, rel. 34
21.45°, rel. 28
28.93°, rel. 40
38.94°, rel. 16
39.73°, rel. 36
43.70°, rel. 37
44.88°, rel. 56
45.59°, rel. 100
60.52°, rel. 20
71.04°, rel. 23
81.62°, rel. 17
87.27°, rel. 19

Starting from the PBE geometry in Alexandria, the X-ray diffraction stick pattern of Hg3SF3 was computed for Cu Kα.

Crystal structure
Lattice parameters (Å, degrees): 7.6701 4.9397 8.1739 90.00 111.22 90.00
Fractional positions:
Hg (0.0921, 0.2500, 0.1846)
Hg (0.2867, 0.2500, 0.8252)
Hg (0.3855, 0.7500, 0.4915)
Hg (0.6145, 0.2500, 0.5085)
Hg (0.7133, 0.7500, 0.1748)
Hg (0.9079, 0.7500, 0.8154)
S (0.3773, 0.2500, 0.1366)
S (0.6227, 0.7500, 0.8634)
F (0.0862, 0.7500, 0.2733)
F (0.1674, 0.7500, 0.7820)
F (0.2614, 0.2500, 0.5558)
F (0.7386, 0.7500, 0.4442)
F (0.8326, 0.2500, 0.2180)
F (0.9138, 0.2500, 0.7267)

Peak list (12 most intense, 15° ≤ 2θ ≤ 90°, low angle first)
19.87°, rel. 32
21.87°, rel. 31
22.11°, rel. 45
26.90°, rel. 100
28.63°, rel. 76
29.61°, rel. 71
35.34°, rel. 52
36.38°, rel. 59
39.74°, rel. 35
44.51°, rel. 19
48.92°, rel. 24
51.60°, rel. 45

Starting from the PBE geometry in Alexandria, the X-ray diffraction stick pattern of MgP4N7 was computed for Cu Kα.

Crystal structure
Lattice parameters (Å, degrees): 12.1602 4.9492 4.6848 90.00 90.00 90.00
Fractional positions:
Mg (0.0000, 0.1618, 0.0000)
Mg (0.5000, 0.8382, 0.5000)
P (0.1188, 0.6656, 0.3321)
P (0.2499, 0.1787, 0.3023)
P (0.2501, 0.8213, 0.8023)
P (0.3812, 0.3344, 0.8321)
P (0.6188, 0.3344, 0.8321)
P (0.7501, 0.1787, 0.3023)
P (0.7499, 0.8213, 0.8023)
P (0.8812, 0.6656, 0.3321)
N (0.0000, 0.7659, 0.2192)
N (0.1380, 0.7313, 0.6621)
N (0.1393, 0.3522, 0.2424)
N (0.2162, 0.8689, 0.1567)
N (0.2838, 0.1311, 0.6567)
N (0.3607, 0.6478, 0.7424)
N (0.3620, 0.2687, 0.1621)
N (0.5000, 0.2341, 0.7192)
N (0.6380, 0.2687, 0.1621)
N (0.6393, 0.6478, 0.7424)
N (0.7162, 0.1311, 0.6567)
N (0.7838, 0.8689, 0.1567)
N (0.8607, 0.3522, 0.2424)
N (0.8620, 0.7313, 0.6621)

Peak list (12 most intense, 15° ≤ 2θ ≤ 90°, low angle first)
19.36°, rel. 46
20.31°, rel. 92
27.22°, rel. 30
28.46°, rel. 32
29.13°, rel. 35
30.10°, rel. 100
34.63°, rel. 58
36.30°, rel. 40
38.43°, rel. 29
41.29°, rel. 28
64.24°, rel. 28
70.40°, rel. 31

Starting from the PBE geometry in Alexandria, the X-ray diffraction stick pattern of Tl4Hg5Au4 was computed for Cu Kα.

Crystal structure
Lattice parameters (Å, degrees): 9.2917 9.2917 9.2917 92.82 92.82 154.37
Fractional positions:
Tl (0.1070, 0.3802, 0.4872)
Tl (0.3802, 0.8930, 0.2732)
Tl (0.6198, 0.1070, 0.7268)
Tl (0.8930, 0.6198, 0.5128)
Hg (0.1201, 0.8123, 0.9324)
Hg (0.1877, 0.1201, 0.3078)
Hg (0.5000, 0.5000, 0.0000)
Hg (0.8123, 0.8799, 0.6922)
Hg (0.8799, 0.1877, 0.0676)
Au (0.2807, 0.5533, 0.8340)
Au (0.4467, 0.2807, 0.7274)
Au (0.5533, 0.7193, 0.2726)
Au (0.7193, 0.4467, 0.1660)

Peak list (12 most intense, 15° ≤ 2θ ≤ 90°, low angle first)
30.13°, rel. 18
31.22°, rel. 9
33.29°, rel. 100
35.73°, rel. 35
36.20°, rel. 35
43.94°, rel. 23
50.36°, rel. 11
56.89°, rel. 17
57.87°, rel. 18
69.02°, rel. 9
71.66°, rel. 18
73.97°, rel. 12

Starting from the PBE geometry in Alexandria, the X-ray diffraction stick pattern of Pm2PrPuSb4 was computed for Cu Kα.

Crystal structure
Lattice parameters (Å, degrees): 6.3542 6.3542 12.7097 90.00 90.00 90.00
Fractional positions:
Pm (0.0000, 0.5000, 0.2500)
Pm (0.0000, 0.5000, 0.7500)
Pm (0.5000, 0.0000, 0.2500)
Pm (0.5000, 0.0000, 0.7500)
Pr (0.0000, 0.0000, 0.0000)
Pr (0.5000, 0.5000, 0.5000)
Pu (0.0000, 0.0000, 0.5000)
Pu (0.5000, 0.5000, 0.0000)
Sb (0.0000, 0.0000, 0.2544)
Sb (0.0000, 0.0000, 0.7456)
Sb (0.0000, 0.5000, 0.0000)
Sb (0.0000, 0.5000, 0.5000)
Sb (0.5000, 0.0000, 0.0000)
Sb (0.5000, 0.0000, 0.5000)
Sb (0.5000, 0.5000, 0.2456)
Sb (0.5000, 0.5000, 0.7544)

Peak list (12 most intense, 15° ≤ 2θ ≤ 90°, low angle first)
15.59°, rel. 4
24.26°, rel. 5
28.08°, rel. 100
32.28°, rel. 1
40.14°, rel. 77
47.45°, rel. 3
49.70°, rel. 28
58.06°, rel. 13
63.85°, rel. 1
65.72°, rel. 36
72.93°, rel. 26
86.67°, rel. 9

Starting from the PBE geometry in Alexandria, the X-ray diffraction stick pattern of SrLiCe2Hg4 was computed for Cu Kα.

Crystal structure
Lattice parameters (Å, degrees): 9.4021 9.4021 9.4021 32.94 32.94 32.94
Fractional positions:
Sr (0.0000, 0.0000, 0.0000)
Li (0.5000, 0.5000, 0.5000)
Ce (0.2445, 0.2445, 0.2445)
Ce (0.7555, 0.7555, 0.7555)
Hg (0.1263, 0.1263, 0.1263)
Hg (0.3863, 0.3863, 0.3863)
Hg (0.6137, 0.6137, 0.6137)
Hg (0.8737, 0.8737, 0.8737)

Peak list (12 most intense, 15° ≤ 2θ ≤ 90°, low angle first)
19.99°, rel. 9
23.44°, rel. 30
33.16°, rel. 91
33.63°, rel. 100
39.43°, rel. 10
47.95°, rel. 33
58.95°, rel. 12
59.84°, rel. 34
60.13°, rel. 19
70.69°, rel. 12
79.56°, rel. 10
80.34°, rel. 15

Starting from the PBE geometry in Alexandria, the X-ray diffraction stick pattern of Ac2PtClO4 was computed for Cu Kα.

Crystal structure
Lattice parameters (Å, degrees): 8.7213 3.7804 9.4646 90.00 110.26 90.00
Fractional positions:
Ac (0.1894, 0.0000, 0.2769)
Ac (0.3106, 0.5000, 0.7231)
Ac (0.6894, 0.5000, 0.2769)
Ac (0.8106, 0.0000, 0.7231)
Pt (0.0000, 0.0000, 0.5000)
Pt (0.5000, 0.5000, 0.5000)
Cl (0.0000, 0.5000, 0.0000)
Cl (0.5000, 0.0000, 0.0000)
O (0.1162, 0.5000, 0.4493)
O (0.1294, 0.0000, 0.7280)
O (0.3706, 0.5000, 0.2720)
O (0.3838, 0.0000, 0.5507)
O (0.6162, 0.0000, 0.4493)
O (0.6294, 0.5000, 0.7280)
O (0.8706, 0.0000, 0.2720)
O (0.8838, 0.5000, 0.5507)

Peak list (12 most intense, 15° ≤ 2θ ≤ 90°, low angle first)
23.94°, rel. 40
25.96°, rel. 37
26.97°, rel. 24
29.23°, rel. 100
30.54°, rel. 39
34.58°, rel. 37
37.12°, rel. 33
40.12°, rel. 51
40.65°, rel. 21
41.74°, rel. 23
45.32°, rel. 27
48.14°, rel. 19